Entry 1:
Simulated PXRD pattern
Compound: SnWO4
Radiation: Cu Ka
Structure: a structure optimized by DFT (GGA+U)
Peak positions follow from Bragg's law for the DFT cell and can differ from measured ones.

Structure:
```
data_SnWO4
_cell_length_a 5.633
_cell_length_b 12.074
_cell_length_c 5.049
_cell_angle_alpha 90.00
_cell_angle_beta 90.00
_cell_angle_gamma 90.00
_space_group_name_H-M_alt 'P n n a'
_space_group_IT_number 52
loop_
_space_group_symop_operation_xyz
'x,y,z'
'-x,-y,-z'
'-x+1/2,-y,z'
'x+1/2,y,-z'
'x,-y+1/2,-z+1/2'
'-x,y+1/2,z+1/2'
'-x+1/2,y+1/2,-z+1/2'
'x+1/2,-y+1/2,z+1/2'
loop_
_atom_site_label
_atom_site_fract_x
_atom_site_fract_y
_atom_site_fract_z
_atom_site_occupancy
Sn1 0.250 0.000 0.216 1
W1 0.131 0.250 0.750 1
O1 0.096 0.104 0.898 1
O2 0.140 0.705 0.002 1
```

Top 6 peaks for 2θ = 10–80°, by angle:
- 2θ = 24.8°, I = 392
- 2θ = 28.0°, I = 1000
- 2θ = 29.6°, I = 289
- 2θ = 32.6°, I = 279
- 2θ = 46.9°, I = 166
- 2θ = 51.5°, I = 206

=====

Entry 2:
Simulated PXRD pattern
Compound: SnWO4
Radiation: Cu Ka
Structure: a structure optimized by DFT (GGA+U)
Peak positions follow from Bragg's law for the DFT cell and can differ from measured ones.

Structure:
```
data_SnWO4
_cell_length_a 7.628
_cell_length_b 7.628
_cell_length_c 7.628
_cell_angle_alpha 90.00
_cell_angle_beta 90.00
_cell_angle_gamma 90.00
_space_group_name_H-M_alt 'P 21 3'
_space_group_IT_number 198
_space_group_name_Hall 'P 2ac 2ab 3'
loop_
_atom_site_label
_atom_site_fract_x
_atom_site_fract_y
_atom_site_fract_z
_atom_site_occupancy
Sn1 0.173 0.327 0.673 1
W1 0.168 0.168 0.168 1
O1 0.045 0.644 0.227 1
O2 0.196 0.696 0.804 1
```

Top 6 peaks for 2θ = 10–80°, by angle:
- 2θ = 23.3°, I = 412
- 2θ = 26.1°, I = 1000
- 2θ = 28.7°, I = 320
- 2θ = 44.4°, I = 482
- 2θ = 49.3°, I = 213
- 2θ = 62.0°, I = 249

=====

Entry 3:
Simulated PXRD pattern
Compound: YSnW2O8
Radiation: Cu Ka
Structure: a structure optimized by DFT (GGA+U)
Peak positions follow from Bragg's law for the DFT cell and can differ from measured ones.

Structure:
```
data_YSnW2O8
_cell_length_a 5.159
_cell_length_b 6.418
_cell_length_c 6.566
_cell_angle_alpha 61.92
_cell_angle_beta 69.68
_cell_angle_gamma 87.52
_space_group_name_H-M_alt 'P 1'
_space_group_IT_number 1
loop_
_space_group_symop_operation_xyz
'x,y,z'
loop_
_atom_site_label
_atom_site_fract_x
_atom_site_fract_y
_atom_site_fract_z
_atom_site_occupancy
Y1 0.000 0.000 0.000 1
Sn1 0.395 0.455 0.080 1
W1 0.195 0.711 0.526 1
W2 0.675 0.022 0.543 1
O1 0.061 0.049 0.323 1
O2 0.177 0.393 0.747 1
O3 0.190 0.687 0.237 1
O4 0.276 0.876 0.723 1
O5 0.588 0.883 0.325 1
O6 0.644 0.325 0.318 1
O7 0.712 0.084 0.777 1
O8 0.778 0.690 0.723 1
```

Top 6 peaks for 2θ = 10–80°, by angle:
- 2θ = 15.8°, I = 334
- 2θ = 16.4°, I = 631
- 2θ = 26.2°, I = 589
- 2θ = 27.6°, I = 579
- 2θ = 28.6°, I = 1000
- 2θ = 34.9°, I = 324